For Na3WF6, DFT lattice parameters and positions (GGA+U) gives the calculated powder XRD pattern in this record (Cu Kα, 1.54184 Å).
Lines closer than 0.1° are merged.

Most intense lines, 10° ≤ 2θ ≤ 90°, sorted by position:
index	2θ/deg	Rel. int.
0 1 1	18.38	100
1 0 0	18.56	38
1 0 -2	18.98	43
0 0 2	21.29	34
1 1 -1	21.58	71
1 1 1	30.23	73
1 1 -3	30.76	47
1 2 0	35.69	37
1 0 -4	36.21	45
0 2 4	53.73	33

Atomic structure:
```
data_Na3WF6
_chemical_formula_sum 'Na6 W2 F12'
_cell_length_a 5.739
_cell_length_b 5.915
_cell_length_c 10.017
_cell_angle_alpha 90.00
_cell_angle_beta 123.58
_cell_angle_gamma 90.00
_space_group_name_H-M_alt 'P 1'
_space_group_IT_number 1
loop_
_space_group_symop_operation_xyz
'x,y,z'
loop_
_atom_site_label
_atom_site_type_symbol
_atom_site_fract_x
_atom_site_fract_y
_atom_site_fract_z
Na1 Na 0.000 0.000 0.000
Na2 Na 0.000 0.500 0.500
Na3 Na 0.222 0.054 0.738
Na4 Na 0.222 0.446 0.238
Na5 Na 0.778 0.554 0.762
Na6 Na 0.778 0.946 0.262
W1 W 0.500 0.000 0.500
W2 W 0.500 0.500 0.000
F1 F 0.138 0.180 0.443
F2 F 0.138 0.320 0.943
F3 F 0.239 0.710 0.416
F4 F 0.239 0.790 0.916
F5 F 0.398 0.077 0.266
F6 F 0.398 0.423 0.766
F7 F 0.602 0.577 0.234
F8 F 0.602 0.923 0.734
F9 F 0.761 0.210 0.084
F10 F 0.761 0.290 0.584
F11 F 0.862 0.680 0.057
F12 F 0.862 0.820 0.557
```